Record 1
Diffraction record for DyYFe2O6. The powder diffractogram is computed, not measured: it uses the GGA+U geometry in the Materials Project and Cu Ka.
Lines closer than 0.1° are merged.

Structure:
```
DyYFe2O6
1.0
7.737 0.000 0.000
0.000 5.355 0.000
0.000 0.000 5.647
Dy Y Fe O
2 2 4 12
direct
0.000 0.230 0.000
0.000 0.770 0.500
0.500 0.270 0.133
0.500 0.730 0.633
0.250 0.250 0.566
0.250 0.750 0.066
0.750 0.250 0.566
0.750 0.750 0.066
0.000 0.367 0.611
0.000 0.633 0.111
0.189 0.056 0.263
0.189 0.944 0.763
0.310 0.444 0.870
0.310 0.556 0.370
0.500 0.134 0.523
0.500 0.866 0.023
0.690 0.444 0.870
0.690 0.556 0.370
0.811 0.056 0.263
0.811 0.944 0.763
```

Top 6 peaks for 2θ from 15° to 90°, by angle:
2θ = 25.65°, d 3.472, rel. 25
2θ = 31.69°, d 2.823, rel. 19
2θ = 32.66°, d 2.742, rel. 100
2θ = 33.46°, d 2.678, rel. 23
2θ = 52.90°, d 1.731, rel. 19
2θ = 59.32°, d 1.558, rel. 22



Record 2
Diffraction record for Li2TiMn3O8. The powder diffractogram is computed, not measured: it uses the GGA+U geometry in the Materials Project and Cu Ka.
Lines closer than 0.1° are merged.

Structure:
```
Li2TiMn3O8
1.0
3.003 1.734 4.809
-3.003 1.734 4.809
0.000 -3.468 4.809
Li Ti Mn O
2 1 3 8
direct
0.124 0.124 0.124
0.876 0.876 0.876
0.500 0.500 0.500
0.000 0.500 0.500
0.500 0.000 0.500
0.500 0.500 0.000
0.260 0.260 0.260
0.265 0.265 0.708
0.265 0.708 0.265
0.292 0.735 0.735
0.708 0.265 0.265
0.735 0.292 0.735
0.735 0.735 0.292
0.740 0.740 0.740
```

Top 6 peaks for 2θ from 15° to 90°, by angle:
2θ = 18.13°, d 4.893, rel. 100
2θ = 18.45°, d 4.809, rel. 39
2θ = 35.23°, d 2.547, rel. 31
2θ = 42.87°, d 2.110, rel. 79
2θ = 61.78°, d 1.502, rel. 24
2θ = 62.69°, d 1.482, rel. 23



Record 3
Diffraction record for CrNiPO5. The powder diffractogram is computed, not measured: it uses the GGA+U geometry in the Materials Project and Cu Ka.
Lines closer than 0.1° are merged.

Structure:
```
CrNiPO5
1.0
3.800 -3.819 0.000
3.800 3.819 0.000
-3.764 0.000 6.123
Cr Ni P O
2 2 2 10
direct
0.000 0.500 0.000
0.500 0.000 0.500
0.000 0.000 0.000
0.000 0.000 0.500
0.380 0.620 0.750
0.620 0.380 0.250
0.134 0.866 0.250
0.201 0.683 0.882
0.312 0.312 0.109
0.312 0.312 0.609
0.317 0.799 0.618
0.683 0.201 0.382
0.688 0.688 0.391
0.688 0.688 0.891
0.799 0.317 0.118
0.866 0.134 0.750
```

Top 6 peaks for 2θ from 15° to 90°, by angle:
2θ = 17.99°, d 4.932, rel. 45
2θ = 27.36°, d 3.260, rel. 58
2θ = 27.49°, d 3.245, rel. 100
2θ = 37.99°, d 2.369, rel. 19
2θ = 43.57°, d 2.077, rel. 33
2θ = 56.85°, d 1.620, rel. 32



Record 4
Diffraction record for Li9Mn2Co5O16. The powder diffractogram is computed, not measured: it uses the GGA+U geometry in the Materials Project and Cu Ka.
Lines closer than 0.1° are merged.

Structure:
```
Li9Mn2Co5O16
1.0
5.075 0.000 0.000
-1.904 7.491 0.000
-1.561 -1.414 7.542
Li Mn Co O
9 2 5 16
direct
0.000 0.000 0.000
0.001 0.877 0.633
0.002 0.753 0.267
0.010 0.512 0.510
0.492 0.120 0.876
0.503 0.375 0.633
0.504 0.877 0.135
0.515 0.633 0.390
0.997 0.238 0.755
0.001 0.629 0.880
0.003 0.123 0.389
0.003 0.375 0.135
0.493 0.988 0.517
0.501 0.756 0.759
0.502 0.500 0.007
0.504 0.252 0.262
0.232 0.614 0.113
0.242 0.365 0.374
0.243 0.128 0.611
0.249 0.021 0.265
0.253 0.524 0.769
0.255 0.858 0.880
0.266 0.265 0.013
0.271 0.758 0.504
0.725 0.986 0.757
0.739 0.487 0.253
0.758 0.633 0.662
0.759 0.234 0.498
0.763 0.731 0.004
0.763 0.893 0.382
0.767 0.389 0.892
0.774 0.139 0.152
```

Top 6 peaks for 2θ from 15° to 90°, by angle:
2θ = 18.33°, d 4.841, rel. 100
2θ = 35.49°, d 2.530, rel. 16
2θ = 42.86°, d 2.110, rel. 29
2θ = 43.33°, d 2.088, rel. 28
2θ = 44.56°, d 2.033, rel. 26
2θ = 63.28°, d 1.470, rel. 14



Record 5
Diffraction record for LiCoPO4. The powder diffractogram is computed, not measured: it uses the GGA+U geometry in the Materials Project and Cu Ka.
Lines closer than 0.1° are merged.

Structure:
```
LiCoPO4
1.0
7.586 0.000 0.000
-3.793 6.569 0.000
0.000 0.000 9.720
Li Co P O
6 6 6 24
direct
0.056 0.591 0.000
0.409 0.466 0.000
0.466 0.409 0.500
0.534 0.944 0.000
0.591 0.056 0.500
0.944 0.534 0.500
0.051 0.274 0.780
0.224 0.949 0.780
0.274 0.051 0.280
0.726 0.776 0.780
0.776 0.726 0.280
0.949 0.224 0.280
0.000 0.000 0.014
0.000 0.000 0.514
0.333 0.667 0.283
0.333 0.667 0.699
0.667 0.333 0.199
0.667 0.333 0.783
0.000 0.000 0.179
0.000 0.000 0.679
0.085 0.865 0.963
0.124 0.500 0.342
0.135 0.221 0.963
0.191 0.744 0.644
0.221 0.135 0.463
0.256 0.446 0.644
0.333 0.667 0.125
0.333 0.667 0.858
0.377 0.876 0.342
0.446 0.256 0.144
0.500 0.124 0.842
0.500 0.623 0.342
0.554 0.809 0.644
0.623 0.500 0.842
0.667 0.333 0.358
0.667 0.333 0.625
0.744 0.191 0.144
0.779 0.915 0.963
0.809 0.554 0.144
0.865 0.085 0.463
0.876 0.377 0.842
0.915 0.779 0.463
```

Top 6 peaks for 2θ from 15° to 90°, by angle:
2θ = 18.25°, d 4.860, rel. 100
2θ = 23.45°, d 3.793, rel. 75
2θ = 28.69°, d 3.112, rel. 51
2θ = 29.88°, d 2.990, rel. 98
2θ = 32.91°, d 2.721, rel. 44
2θ = 40.81°, d 2.211, rel. 74



Record 6
Diffraction record for MnTlF3. The powder diffractogram is computed, not measured: it uses the GGA+U geometry in the Materials Project and Cu Ka.
Lines closer than 0.1° are merged.

Structure:
```
MnTlF3
1.0
4.316 0.000 0.000
0.000 4.316 0.000
0.000 0.000 4.316
Mn Tl F
1 1 3
direct
0.000 0.000 0.000
0.500 0.500 0.500
0.000 0.000 0.500
0.000 0.500 0.000
0.500 0.000 0.000
```

Top 6 peaks for 2θ from 15° to 90°, by angle:
2θ = 20.58°, d 4.316, rel. 30
2θ = 29.26°, d 3.052, rel. 100
2θ = 36.04°, d 2.492, rel. 29
2θ = 41.86°, d 2.158, rel. 34
2θ = 51.89°, d 1.762, rel. 42
2θ = 83.87°, d 1.154, rel. 21



Record 7
Diffraction record for TiFeO3. The powder diffractogram is computed, not measured: it uses the GGA+U geometry in the Materials Project and Cu Ka.
Lines closer than 0.1° are merged.

Structure:
```
TiFeO3
1.0
5.291 0.000 0.000
0.000 7.540 0.000
0.000 0.000 5.233
Ti Fe O
4 4 12
direct
0.000 0.000 0.000
0.000 0.500 0.000
0.500 0.000 0.500
0.500 0.500 0.500
0.040 0.250 0.492
0.460 0.750 0.992
0.540 0.250 0.008
0.960 0.750 0.508
0.057 0.750 0.895
0.182 0.557 0.323
0.182 0.943 0.323
0.318 0.057 0.823
0.318 0.443 0.823
0.443 0.250 0.395
0.557 0.750 0.605
0.682 0.557 0.177
0.682 0.943 0.177
0.818 0.057 0.677
0.818 0.443 0.677
0.943 0.250 0.105
```

Top 6 peaks for 2θ from 15° to 90°, by angle:
2θ = 33.86°, d 2.648, rel. 100
2θ = 34.27°, d 2.616, rel. 20
2θ = 48.28°, d 1.885, rel. 14
2θ = 48.96°, d 1.860, rel. 22
2θ = 60.58°, d 1.529, rel. 24
2θ = 61.10°, d 1.517, rel. 22



Record 8
Diffraction record for La3CdFe4O12. The powder diffractogram is computed, not measured: it uses the GGA+U geometry in the Materials Project and Cu Ka.
Lines closer than 0.1° are merged.

Structure:
```
La3CdFe4O12
1.0
5.556 0.000 0.000
0.000 7.917 0.000
-0.048 0.000 5.561
La Cd Fe O
3 1 4 12
direct
0.000 0.000 0.000
0.016 0.500 0.060
0.514 0.000 0.502
0.499 0.500 0.558
0.005 0.255 0.532
0.005 0.745 0.532
0.510 0.255 0.028
0.510 0.745 0.028
0.087 0.000 0.535
0.218 0.283 0.821
0.218 0.717 0.821
0.293 0.300 0.318
0.293 0.700 0.318
0.432 0.000 0.052
0.587 0.500 0.992
0.733 0.197 0.756
0.733 0.803 0.756
0.791 0.209 0.248
0.791 0.791 0.248
0.909 0.500 0.517
```

Top 6 peaks for 2θ from 15° to 90°, by angle:
2θ = 32.02°, d 2.795, rel. 54
2θ = 32.19°, d 2.781, rel. 100
2θ = 39.62°, d 2.275, rel. 22
2θ = 45.85°, d 1.979, rel. 15
2θ = 57.15°, d 1.612, rel. 31
2θ = 57.50°, d 1.603, rel. 20



Copy entry 8 word for word.
Diffraction record for La3CdFe4O12. The powder diffractogram is computed, not measured: it uses the GGA+U geometry in the Materials Project and Cu Ka.
Lines closer than 0.1° are merged.

Structure:
```
La3CdFe4O12
1.0
5.556 0.000 0.000
0.000 7.917 0.000
-0.048 0.000 5.561
La Cd Fe O
3 1 4 12
direct
0.000 0.000 0.000
0.016 0.500 0.060
0.514 0.000 0.502
0.499 0.500 0.558
0.005 0.255 0.532
0.005 0.745 0.532
0.510 0.255 0.028
0.510 0.745 0.028
0.087 0.000 0.535
0.218 0.283 0.821
0.218 0.717 0.821
0.293 0.300 0.318
0.293 0.700 0.318
0.432 0.000 0.052
0.587 0.500 0.992
0.733 0.197 0.756
0.733 0.803 0.756
0.791 0.209 0.248
0.791 0.791 0.248
0.909 0.500 0.517
```

Top 6 peaks for 2θ from 15° to 90°, by angle:
2θ = 32.02°, d 2.795, rel. 54
2θ = 32.19°, d 2.781, rel. 100
2θ = 39.62°, d 2.275, rel. 22
2θ = 45.85°, d 1.979, rel. 15
2θ = 57.15°, d 1.612, rel. 31
2θ = 57.50°, d 1.603, rel. 20